Entry 1:
# NaLa2Ti2MnO9
Calculated powder diffraction line list, Cu Kα X-rays. Input: a DFT-relaxed cell (PBE+U, the Materials Project).
Intensities are scaled so that the largest is 100.

Cell: 5.539 5.543 13.573 Å, 89.56 89.58 60.15°
Element x y z (fractional)
Na1 0.000 0.000 0.000
Na2 0.336 0.333 0.335
La1 0.330 0.330 0.833
La2 0.662 0.662 0.163
La3 0.666 0.672 0.667
La4 0.993 0.001 0.494
Ti1 0.001 0.001 0.248
Ti2 0.332 0.333 0.084
Ti3 0.664 0.671 0.414
Ti4 0.666 0.672 0.919
Mn1 0.327 0.334 0.581
Mn2 0.994 0.001 0.752
O1 0.003 0.544 0.490
O2 0.136 0.144 0.642
O3 0.141 0.640 0.681
O4 0.184 0.190 0.188
O5 0.192 0.690 0.156
O6 0.301 0.811 0.345
O7 0.367 0.863 0.819
O8 0.469 0.980 0.013
O9 0.473 0.477 0.976
O10 0.525 0.014 0.487
O11 0.526 0.527 0.523
O12 0.636 0.143 0.679
O13 0.685 0.196 0.155
O14 0.802 0.814 0.307
O15 0.813 0.308 0.345
O16 0.846 0.857 0.858
O17 0.849 0.376 0.819
O18 0.969 0.485 0.014

Main lines, in order of rising 2θ (2θ from 10° to 90°):
2θ/deg, intensity
19.61, 30
32.21, 48
32.34, 100
39.85, 20
46.20, 36
57.54, 30



Entry 2:
# SrLaMnNbO6
Calculated powder diffraction line list, Cu Kα X-rays. Input: a DFT-relaxed cell (PBE+U, the Materials Project).
Intensities are scaled so that the largest is 100.

Cell: 5.725 5.869 9.956 Å, 90.00 125.06 90.00°
Element x y z (fractional)
Sr1 0.000 0.210 0.000
Sr2 0.000 0.790 0.500
La1 0.522 0.301 0.503
La2 0.522 0.699 0.003
Mn1 0.759 0.245 0.250
Mn2 0.759 0.755 0.750
Nb1 0.259 0.248 0.750
Nb2 0.259 0.752 0.250
O1 0.006 0.477 0.200
O2 0.006 0.523 0.700
O3 0.120 0.222 0.510
O4 0.120 0.778 0.010
O5 0.419 0.284 0.988
O6 0.419 0.716 0.488
O7 0.491 0.042 0.301
O8 0.491 0.958 0.801
O9 0.575 0.450 0.788
O10 0.575 0.550 0.288
O11 0.918 0.060 0.699
O12 0.918 0.940 0.199

Main lines, in order of rising 2θ (2θ from 10° to 90°):
2θ/deg, intensity
30.46, 23
30.95, 100
31.25, 24
44.20, 25
55.38, 23
64.50, 16



Entry 3:
# La3NdMn4O12
Calculated powder diffraction line list, Cu Kα X-rays. Input: a DFT-relaxed cell (PBE+U, the Materials Project).
Intensities are scaled so that the largest is 100.

Cell: 5.566 7.850 5.770 Å, 90.00 90.07 90.00°
Element x y z (fractional)
La1 0.000 0.000 0.000
La2 0.020 0.500 0.099
La3 0.519 0.000 0.502
Nd1 0.498 0.500 0.606
Mn1 0.010 0.251 0.549
Mn2 0.010 0.749 0.549
Mn3 0.510 0.251 0.050
Mn4 0.510 0.749 0.050
O1 0.091 0.000 0.566
O2 0.231 0.295 0.851
O3 0.231 0.705 0.851
O4 0.294 0.296 0.355
O5 0.294 0.704 0.355
O6 0.428 0.000 0.067
O7 0.593 0.500 0.027
O8 0.728 0.209 0.746
O9 0.728 0.791 0.746
O10 0.794 0.207 0.245
O11 0.794 0.793 0.245
O12 0.920 0.500 0.532

Main lines, in order of rising 2θ (2θ from 10° to 90°):
2θ/deg, intensity
22.19, 16
31.00, 23
31.92, 100
32.17, 24
45.28, 24
57.20, 23



Entry 4:
# LaNdMn2O6
Calculated powder diffraction line list, Cu Kα X-rays. Input: a DFT-relaxed cell (PBE+U, the Materials Project).
Intensities are scaled so that the largest is 100.

Cell: 7.850 5.565 5.717 Å, 90.00 90.00 90.00°
Element x y z (fractional)
La1 0.000 0.240 0.000
La2 0.000 0.760 0.500
Nd1 0.500 0.262 0.095
Nd2 0.500 0.738 0.595
Mn1 0.252 0.249 0.543
Mn2 0.252 0.751 0.043
Mn3 0.748 0.249 0.543
Mn4 0.748 0.751 0.043
O1 0.000 0.333 0.558
O2 0.000 0.667 0.058
O3 0.208 0.031 0.241
O4 0.208 0.969 0.741
O5 0.299 0.471 0.842
O6 0.299 0.529 0.342
O7 0.500 0.158 0.519
O8 0.500 0.842 0.019
O9 0.701 0.471 0.842
O10 0.701 0.529 0.342
O11 0.792 0.031 0.241
O12 0.792 0.969 0.741

Main lines, in order of rising 2θ (2θ from 10° to 90°):
2θ/deg, intensity
22.29, 16
31.29, 23
32.00, 100
32.17, 24
45.49, 25
57.25, 22



Entry 5:
# LaMnO3
Calculated powder diffraction line list, Cu Kα X-rays. Input: a DFT-relaxed cell (PBE+U, the Materials Project).
Intensities are scaled so that the largest is 100.

Cell: 5.433 10.413 5.971 Å, 90.00 118.42 90.00°
Element x y z (fractional)
La1 0.018 0.172 0.024
La2 0.018 0.328 0.524
La3 0.982 0.672 0.476
La4 0.982 0.828 0.976
Mn1 0.000 0.000 0.500
Mn2 0.000 0.500 0.000
Mn3 0.500 0.000 0.000
Mn4 0.500 0.500 0.500
O1 0.179 0.507 0.772
O2 0.179 0.993 0.272
O3 0.252 0.622 0.248
O4 0.252 0.878 0.748
O5 0.288 0.142 0.801
O6 0.288 0.358 0.301
O7 0.712 0.642 0.699
O8 0.712 0.858 0.199
O9 0.748 0.122 0.252
O10 0.748 0.378 0.752
O11 0.821 0.007 0.728
O12 0.821 0.493 0.228

Main lines, in order of rising 2θ (2θ from 10° to 90°):
2θ/deg, intensity
18.57, 100
18.93, 41
30.88, 59
31.65, 63
36.89, 49
40.44, 71



Entry 6:
# LaMnO3
Calculated powder diffraction line list, Cu Kα X-rays. Input: a DFT-relaxed cell (PBE+U, the Materials Project).
Intensities are scaled so that the largest is 100.

Cell: 5.717 10.475 6.228 Å, 90.00 117.06 90.00°
Element x y z (fractional)
La1 0.004 0.163 0.499
La2 0.004 0.337 0.999
La3 0.996 0.663 0.001
La4 0.996 0.837 0.501
Mn1 0.000 0.000 0.000
Mn2 0.000 0.500 0.500
Mn3 0.500 0.000 0.000
Mn4 0.500 0.500 0.500
O1 0.205 0.502 0.937
O2 0.205 0.998 0.437
O3 0.230 0.626 0.456
O4 0.230 0.874 0.956
O5 0.232 0.127 0.957
O6 0.232 0.373 0.457
O7 0.768 0.627 0.543
O8 0.768 0.873 0.043
O9 0.770 0.126 0.044
O10 0.770 0.374 0.544
O11 0.795 0.002 0.563
O12 0.795 0.498 0.063

Main lines, in order of rising 2θ (2θ from 10° to 90°):
2θ/deg, intensity
17.42, 100
19.44, 38
30.25, 57
31.10, 46
32.28, 56
40.80, 57



Entry 7:
# LaMn2O5
Calculated powder diffraction line list, Cu Kα X-rays. Input: a DFT-relaxed cell (PBE+U, the Materials Project).
Intensities are scaled so that the largest is 100.

Cell: 7.750 8.797 5.844 Å, 90.00 90.00 90.00°
Element x y z (fractional)
La1 0.146 0.173 0.000
La2 0.354 0.673 0.000
La3 0.646 0.327 0.000
La4 0.854 0.827 0.000
Mn1 0.000 0.500 0.258
Mn2 0.000 0.500 0.742
Mn3 0.090 0.851 0.500
Mn4 0.410 0.351 0.500
Mn5 0.500 0.000 0.258
Mn6 0.500 0.000 0.742
Mn7 0.590 0.649 0.500
Mn8 0.910 0.149 0.500
O1 0.000 0.000 0.279
O2 0.000 0.000 0.721
O3 0.096 0.707 0.250
O4 0.096 0.707 0.750
O5 0.152 0.437 0.500
O6 0.155 0.449 0.000
O7 0.345 0.949 0.000
O8 0.348 0.937 0.500
O9 0.404 0.207 0.250
O10 0.404 0.207 0.750
O11 0.500 0.500 0.279
O12 0.500 0.500 0.721
O13 0.596 0.793 0.250
O14 0.596 0.793 0.750
O15 0.652 0.063 0.500
O16 0.655 0.051 0.000
O17 0.845 0.551 0.000
O18 0.848 0.563 0.500
O19 0.904 0.293 0.250
O20 0.904 0.293 0.750

Main lines, in order of rising 2θ (2θ from 10° to 90°):
2θ/deg, intensity
15.16, 26
27.88, 67
29.46, 100
32.65, 38
34.35, 25
57.02, 37



Entry 8:
# LaMnO3
Calculated powder diffraction line list, Cu Kα X-rays. Input: a DFT-relaxed cell (PBE+U, the Materials Project).
Intensities are scaled so that the largest is 100.

Cell: 3.967 5.536 5.699 Å, 90.00 90.00 90.00°
Element x y z (fractional)
La1 0.000 0.237 0.000
La2 0.000 0.763 0.500
Mn1 0.500 0.255 0.511
Mn2 0.500 0.745 0.011
O1 0.000 0.247 0.509
O2 0.000 0.753 0.009
O3 0.500 0.038 0.198
O4 0.500 0.444 0.844
O5 0.500 0.556 0.344
O6 0.500 0.962 0.698

Main lines, in order of rising 2θ (2θ from 10° to 90°):
2θ/deg, intensity
22.40, 26
31.39, 32
31.89, 100
32.34, 27
45.71, 48
56.20, 23



Entry 9:
# LaMnO3
Calculated powder diffraction line list, Cu Kα X-rays. Input: a DFT-relaxed cell (PBE+U, the Materials Project).
Intensities are scaled so that the largest is 100.

Cell: 3.939 8.824 8.824 Å, 53.21 90.00 90.00°
Element x y z (fractional)
La1 0.000 0.247 0.753
La2 0.000 0.499 0.999
La3 0.000 0.753 0.247
La4 0.000 0.999 0.499
Mn1 0.500 0.125 0.125
Mn2 0.500 0.376 0.376
Mn3 0.500 0.624 0.624
Mn4 0.500 0.875 0.875
O1 0.000 0.124 0.124
O2 0.000 0.375 0.375
O3 0.000 0.624 0.624
O4 0.000 0.877 0.877
O5 0.500 0.003 0.003
O6 0.500 0.115 0.636
O7 0.500 0.248 0.248
O8 0.500 0.364 0.886
O9 0.500 0.502 0.502
O10 0.500 0.636 0.115
O11 0.500 0.746 0.746
O12 0.500 0.886 0.364

Main lines, in order of rising 2θ (2θ from 10° to 90°):
2θ/deg, intensity
22.54, 15
32.08, 100
39.57, 20
45.97, 22
57.19, 38
67.07, 13



Entry 10:
# LaMnO3
Calculated powder diffraction line list, Cu Kα X-rays. Input: a DFT-relaxed cell (PBE+U, the Materials Project).
Intensities are scaled so that the largest is 100.

Cell: 8.827 8.827 8.827 Å, 143.18 143.18 53.05°
Element x y z (fractional)
La1 0.000 0.500 0.500
La2 0.250 0.750 0.500
La3 0.500 0.000 0.500
La4 0.750 0.250 0.500
Mn1 0.124 0.124 0.000
Mn2 0.376 0.376 0.000
Mn3 0.624 0.624 0.000
Mn4 0.876 0.876 0.000
O1 0.000 0.000 0.000
O2 0.136 0.136 0.518
O3 0.136 0.618 0.000
O4 0.249 0.249 0.000
O5 0.382 0.382 0.518
O6 0.382 0.864 0.000
O7 0.500 0.500 0.000
O8 0.618 0.136 0.000
O9 0.618 0.618 0.482
O10 0.751 0.751 0.000
O11 0.864 0.382 0.000
O12 0.864 0.864 0.482

Main lines, in order of rising 2θ (2θ from 10° to 90°):
2θ/deg, intensity
22.54, 15
32.09, 100
39.57, 20
46.02, 33
57.21, 38
67.12, 19